Calculated X-ray diffraction stick pattern
Compound: RbLi3Mg4F12
Radiation: λ = 1.5418 Å (Cu Kα)
Structure: the GGA-PBE geometry in Alexandria
Neutral-atom scattering factors, no anomalous dispersion.

Largest 10 diffraction maxima, sorted by position, 5 to 70 degrees two-theta:
- (1 1 0), d 5.423, intensity 863
- (2 1 1), d 3.131, intensity 420
- (2 2 0), d 2.711, intensity 538
- (3 1 0), d 2.425, intensity 1000
- (2 2 2), d 2.214, intensity 151
- (3 2 1), d 2.050, intensity 898
- (4 0 0), d 1.917, intensity 427
- (4 2 2), d 1.565, intensity 634
- (4 3 1), d 1.504, intensity 254
- (4 4 0), d 1.356, intensity 143

Cell: 7.6687 7.6687 7.6687 Å, 90.00 90.00 90.00°
Space group Im-3 (No. 204)
One atom of each set of equivalent atoms:
Rb 0.0000 0.0000 0.0000 x2
Li 0.0000 0.0000 0.5000 x6
Mg 0.2500 0.2500 0.2500 x8
F 0.0000 0.1862 0.3106 x24

***

Calculated X-ray diffraction stick pattern
Compound: Fe2SnPd2
Radiation: λ = 1.5418 Å (Cu Kα)
Structure: the GGA-PBE geometry in Alexandria
Neutral-atom scattering factors, no anomalous dispersion.

Largest 10 diffraction maxima, sorted by position, 5 to 70 degrees two-theta:
- (1 1 1), d 2.865, intensity 197
- (2 1 0), d 2.846, intensity 113
- (2 0 1), d 2.417, intensity 649
- (2 1 1), d 2.259, intensity 1000
- (2 2 0), d 2.250, intensity 144
- (3 1 0), d 2.012, intensity 482
- (0 0 2), d 1.858, intensity 248
- (4 1 1), d 1.425, intensity 92
- (3 3 1), d 1.391, intensity 167
- (3 1 2), d 1.365, intensity 270

Cell: 6.3639 6.3639 3.7160 Å, 90.00 90.00 90.00°
Space group P4/mbm (No. 127)
One atom of each set of equivalent atoms:
Fe 0.1170 0.3830 0.0000 x4
Sn 0.0000 0.0000 0.0000 x2
Pd 0.1688 0.6688 0.5000 x4

***

Calculated X-ray diffraction stick pattern
Compound: RbPH2O4
Radiation: λ = 1.5418 Å (Cu Kα)
Structure: the GGA-PBE geometry in Alexandria
Neutral-atom scattering factors, no anomalous dispersion.

Largest 10 diffraction maxima, sorted by position, 5 to 70 degrees two-theta:
- (2 2 0), d 3.879, intensity 1000
- (0 2 2), d 3.071, intensity 532
- (2 0 2), d 3.057, intensity 504
- (0 4 0), d 2.762, intensity 164
- (4 0 0), d 2.724, intensity 153
- (3 3 1), d 2.441, intensity 179
- (1 1 3), d 2.347, intensity 116
- (2 4 2), d 2.051, intensity 384
- (4 2 2), d 2.038, intensity 287
- (2 2 4), d 1.668, intensity 126

Cell: 10.8966 11.0497 7.3875 Å, 90.00 90.00 90.00°
Space group Fdd2 (No. 43)
One atom of each set of equivalent atoms:
Rb 0.0000 0.0000 0.0000 x8
P 0.0000 0.0000 0.4828 x8
H 0.0708 0.2948 0.8654 x16
O 0.0256 0.1140 0.3717 x16
O 0.1138 0.4744 0.1129 x16

***

Calculated X-ray diffraction stick pattern
Compound: AcLaPuPb
Radiation: λ = 1.5418 Å (Cu Kα)
Structure: the GGA-PBE geometry in Alexandria
Neutral-atom scattering factors, no anomalous dispersion.

Largest 10 diffraction maxima, sorted by position, 5 to 70 degrees two-theta:
- (1 1 1), d 4.670, intensity 32
- (2 0 0), d 4.045, intensity 5
- (2 2 0), d 2.860, intensity 1000
- (3 1 1), d 2.439, intensity 20
- (4 0 0), d 2.022, intensity 190
- (3 3 1), d 1.856, intensity 9
- (4 2 2), d 1.651, intensity 405
- (5 1 1), d 1.557, intensity 7
- (4 4 0), d 1.430, intensity 126
- (5 3 1), d 1.367, intensity 7

Cell: 8.0891 8.0891 8.0891 Å, 90.00 90.00 90.00°
Space group F-43m (No. 216)
One atom of each set of equivalent atoms:
Ac 0.0000 0.0000 0.0000 x4
La 0.2500 0.2500 0.7500 x4
Pu 0.2500 0.2500 0.2500 x4
Pb 0.0000 0.0000 0.5000 x4

***

Calculated X-ray diffraction stick pattern
Compound: MgIn2I8
Radiation: λ = 1.5418 Å (Cu Kα)
Structure: the GGA-PBE geometry in Alexandria
Neutral-atom scattering factors, no anomalous dispersion.

Largest 10 diffraction maxima, sorted by position, 5 to 70 degrees two-theta:
- (2 2 0), d 4.114, intensity 404
- (4 0 0), d 3.989, intensity 291
- (0 2 2), d 3.584, intensity 386
- (4 0 -4), d 3.536, intensity 1000
- (2 0 2), d 3.525, intensity 278
- (6 2 -4), d 2.662, intensity 225
- (0 4 0), d 2.401, intensity 211
- (6 2 0), d 2.327, intensity 419
- (4 2 -6), d 2.062, intensity 252
- (4 4 -4), d 1.986, intensity 175

Cell: 21.0094 9.6031 14.1745 Å, 90.00 130.57 90.00°
Space group C2/c (No. 15)
One atom of each set of equivalent atoms:
Mg 0.0000 0.0015 0.2500 x4
In 0.0837 0.2444 0.5308 x8
I 0.0764 0.2153 0.2002 x8
I 0.0841 0.2361 0.7280 x8
I 0.1511 0.0031 0.5136 x8
I 0.1649 0.4793 0.5578 x8

***

Calculated X-ray diffraction stick pattern
Compound: Sr5Cd3
Radiation: λ = 1.5418 Å (Cu Kα)
Structure: the GGA-PBE geometry in Alexandria
Neutral-atom scattering factors, no anomalous dispersion.

Largest 10 diffraction maxima, sorted by position, 5 to 70 degrees two-theta:
- (2 2 1), d 3.035, intensity 1000
- (0 4 0), d 2.909, intensity 190
- (0 0 2), d 2.872, intensity 231
- (4 0 0), d 2.265, intensity 95
- (0 4 2), d 2.044, intensity 136
- (4 4 0), d 1.787, intensity 70
- (4 0 2), d 1.779, intensity 89
- (2 6 1), d 1.703, intensity 109
- (2 2 3), d 1.688, intensity 172
- (4 4 2), d 1.518, intensity 85

Cell: 9.0606 11.6356 5.7445 Å, 90.00 90.00 90.00°
Space group Cmmm (No. 65)
One atom of each set of equivalent atoms:
Sr 0.0000 0.0000 0.0000 x2
Sr 0.2106 0.5000 0.5000 x4
Sr 0.2500 0.2500 0.0000 x4
Cd 0.0000 0.2144 0.5000 x4
Cd 0.0000 0.5000 0.0000 x2